Starting from a cell relaxed with GGA-PBE, the PXRD pattern of Y6As5 was computed for copper Kα.

Cell and atoms:
```
data_Y6As5
_cell_length_a 7.0792
_cell_length_b 7.0792
_cell_length_c 7.0955
_cell_angle_alpha 99.58
_cell_angle_beta 99.58
_cell_angle_gamma 119.93
_symmetry_space_group_name_H-M 'P 1'
_symmetry_Int_Tables_number 1
_symmetry_space_group_name_Hall 'P 1'
loop_
_atom_site_label
_atom_site_type_symbol
_atom_site_fract_x
_atom_site_fract_y
_atom_site_fract_z
Y1 Y 0.0776 0.4157 0.7487
Y2 Y 0.2460 0.2460 0.2543
Y3 Y 0.4157 0.0776 0.7487
Y4 Y 0.5843 0.9224 0.2513
Y5 Y 0.7540 0.7540 0.7457
Y6 Y 0.9224 0.5843 0.2513
As1 As 0.0000 0.0000 0.5000
As2 As 0.1666 0.8334 0.0000
As3 As 0.3335 0.6665 0.5000
As4 As 0.6665 0.3335 0.5000
As5 As 0.8334 0.1666 0.0000
```

The 10 most intense peaks (2θ from 10° to 90°), by angle:
- 30.91 deg, I 100
- 44.26 deg, I 61
- 44.34 deg, I 12
- 54.92 deg, I 13
- 55.02 deg, I 13
- 64.40 deg, I 12
- 73.11 deg, I 21
- 73.21 deg, I 10
- 81.40 deg, I 10
- 81.53 deg, I 10